Calculated XRD peak list
Compound: Er2AlGe3
Radiation: copper Kα
Structure: a cell relaxed with GGA-PBE
Peak positions follow from Bragg's law for the DFT cell and can differ from measured ones.

Structural model:
Cell: 6.8296 4.1651 17.6403 Å, 90.00 90.00 90.00°
Sites, in units of the cell vectors:
Er1 0.1663 0.2500 0.2030
Er2 0.1676 0.2500 0.4146
Er3 0.3324 0.7500 0.9146
Er4 0.3337 0.7500 0.7030
Er5 0.6663 0.2500 0.2970
Er6 0.6676 0.2500 0.0854
Er7 0.8324 0.7500 0.5854
Er8 0.8337 0.7500 0.7970
Al1 0.0493 0.7500 0.0644
Al2 0.4507 0.2500 0.5644
Al3 0.5493 0.7500 0.4356
Al4 0.9507 0.2500 0.9356
Ge1 0.0357 0.2500 0.6720
Ge2 0.1460 0.2500 0.8116
Ge3 0.2486 0.7500 0.5347
Ge4 0.2514 0.2500 0.0347
Ge5 0.3540 0.7500 0.3116
Ge6 0.4643 0.7500 0.1720
Ge7 0.5357 0.2500 0.8280
Ge8 0.6460 0.2500 0.6884
Ge9 0.7486 0.7500 0.9653
Ge10 0.7514 0.2500 0.4653
Ge11 0.8540 0.7500 0.1884
Ge12 0.9643 0.7500 0.3280

Largest 8 diffraction maxima, low angle first, 2θ from 10° to 90°:
d/Å	I/Imax	hkl
2.768	39	1 1 4
2.692	23	0 1 5
2.641	64	2 1 0
2.612	32	2 1 1
2.505	100	1 1 5
2.083	40	0 2 0
1.913	32	3 0 5
1.409	23	3 2 5